For Tb2PrIn3Fe3, a crystal structure in OQMD, relaxed with PBE gives the computed XRD peak list in this record (copper Kα).
Intensities are scaled so that the largest is 100.

Main lines, in order of rising 2θ (2θ from 15° to 90°):
d (Å), Position (°2θ), Rel. int.
2.732, 32.78, 46
2.723, 32.89, 100
2.518, 35.65, 73
2.509, 35.79, 31
2.474, 36.31, 27
2.460, 36.52, 51
2.178, 41.45, 19
1.976, 45.93, 30
1.541, 60.05, 23
1.243, 76.63, 12

Crystal structure
```
data_Tb2PrIn3Fe3
_cell_length_a 3.9520
_cell_length_b 12.9912
_cell_length_c 7.5611
_cell_angle_alpha 90.00
_cell_angle_beta 90.00
_cell_angle_gamma 90.00
_symmetry_space_group_name_H-M 'A m m 2'
_symmetry_Int_Tables_number 38
_symmetry_space_group_name_Hall 'A 2 -2'
loop_
_atom_site_label
_atom_site_type_symbol
_atom_site_fract_x
_atom_site_fract_y
_atom_site_fract_z
_atom_site_occupancy
Tb1 Tb 0.0000 0.2040 0.0000 1
Pr1 Pr 0.0000 0.0000 0.3776 1
In1 In 0.5000 0.0000 0.0424 1
In2 In 0.5000 0.1292 0.6682 1
Fe1 Fe 0.0000 0.0000 0.7938 1
Fe2 Fe 0.5000 0.1693 0.2950 1
```